For BaCaCu2F8, a GGA-PBE-relaxed structure gives the calculated powder diffractogram in this record (Cu Kα, 1.54184 Å).
No peak broadening, texture or thermal motion is included.

Crystal structure
Lattice parameters (Å, degrees): 5.6278 5.6278 7.7326 90.00 90.00 120.00
Space group P-3 (No. 147)
Inequivalent atoms, fractional coordinates:
Ba  0.0000  0.0000  0.0000 x1
Ca  0.0000  0.0000  0.5000 x1
Cu  0.3333  0.6667  0.7513 x2
F  0.0314  0.3034  0.7015 x6
F  0.3333  0.6667  0.9927 x2

Largest 10 diffraction maxima, by angle, 10 to 90 degrees two-theta:
2θ/deg	I (rel.)	hkl
18.2	40.5	1 0 0
21.6	100.0	1 0 1
29.5	93.1	0 1 2
31.8	80.4	1 1 0
33.9	44.0	1 1 1
39.6	37.6	0 1 3
43.9	45.0	0 2 2
55.2	40.3	3 -2 2
56.7	28.6	3 0 0
57.9	34.9	1 1 4